# HgPb
Theoretical powder X-ray diffraction pattern, CuKα. Input: a crystal structure in Alexandria, relaxed with GGA-PBE.
Neutral-atom scattering factors, no anomalous dispersion.

The 8 most intense peaks (2θ = 5–70°), sorted by position:
h k l, 2θ (°), Rel. int.
1 1 2, 32.19, 100
0 0 4, 34.39, 21
2 0 0, 38.75, 31
2 0 4, 52.77, 26
2 2 0, 55.96, 11
1 1 6, 60.22, 17
3 1 2, 66.05, 26
2 2 4, 67.36, 12

Structure:
abc: 4.648 4.648 10.431
angles: 90.00 90.00 90.00
Space group I4_1/amd (No. 141, origin choice 2)
Inequivalent atoms, fractional coordinates:
Hg  0.000  0.250  0.375
Pb  0.000  0.250  0.875

# CsHg13
Theoretical powder X-ray diffraction pattern, CuKα. Input: a crystal structure in Alexandria, relaxed with GGA-PBE.
Neutral-atom scattering factors, no anomalous dispersion.

The 10 most intense peaks (2θ = 5–70°), sorted by position:
h k l, 2θ (°), Rel. int.
2 0 0, 11.55, 22
4 2 0, 26.01, 14
4 2 2, 28.54, 49
5 3 1, 34.63, 100
6 0 0, 35.14, 46
7 5 3, 54.56, 22
9 3 1, 57.36, 10
8 4 4, 59.07, 11
10 0 0, 60.41, 10
9 5 3, 65.31, 17

Structure:
abc: 15.323 15.323 15.323
angles: 90.00 90.00 90.00
Space group Fm-3c (No. 226)
Inequivalent atoms, fractional coordinates:
Cs  0.250  0.250  0.250
Hg  0.000  0.000  0.000
Hg  0.000  0.121  0.180